Theoretical powder XRD pattern of TmZrSnC for Cu Kα, from a PBE-relaxed structure.
Peak positions follow from Bragg's law for the DFT cell and can differ from measured ones.

Structure:
Lattice parameters (Å, degrees): 3.4676 3.4676 15.1181 90.00 90.00 120.00
Atoms (fractional coordinates):
1 Tm 0.3333 0.6667 0.4129
2 Tm 0.6667 0.3333 0.5871
3 Zr 0.3333 0.6667 0.0813
4 Zr 0.6667 0.3333 0.9187
5 Sn 0.3333 0.6667 0.7593
6 Sn 0.6667 0.3333 0.2407
7 C 0.0000 0.0000 0.0000
8 C 0.0000 0.0000 0.5000

Principal peaks in the range 2θ = 10–80°, low angle first:
- 29.75 deg, rel. 23
- 32.07 deg, rel. 6
- 34.78 deg, rel. 100
- 35.63 deg, rel. 19
- 47.08 deg, rel. 15
- 52.80 deg, rel. 22
- 57.63 deg, rel. 3
- 61.79 deg, rel. 3
- 63.45 deg, rel. 16
- 64.79 deg, rel. 17
- 65.33 deg, rel. 20
- 73.41 deg, rel. 4


Theoretical powder XRD pattern of Y4Zr2Sn3C3 for Cu Kα, from a PBE-relaxed structure.
Peak positions follow from Bragg's law for the DFT cell and can differ from measured ones.

Structure:
Lattice parameters (Å, degrees): 6.1529 6.1529 15.6993 101.48 101.48 60.09
Atoms (fractional coordinates):
1 Y 0.0355 0.1922 0.0905
2 Y 0.1308 0.3032 0.4095
3 Y 0.1922 0.0355 0.5905
4 Y 0.3032 0.1308 0.9095
5 Y 0.6968 0.8692 0.0905
6 Y 0.8078 0.9645 0.4095
7 Y 0.8692 0.6968 0.5905
8 Y 0.9645 0.8078 0.9095
9 Zr 0.3544 0.5258 0.0770
10 Zr 0.4742 0.6456 0.4230
11 Zr 0.5258 0.3544 0.5770
12 Zr 0.6456 0.4742 0.9230
13 Sn 0.1221 0.8779 0.2500
14 Sn 0.2858 0.4183 0.7514
15 Sn 0.4183 0.2858 0.2514
16 Sn 0.5817 0.7142 0.7486
17 Sn 0.7142 0.5817 0.2486
18 Sn 0.8779 0.1221 0.7500
19 C 0.0000 0.5000 0.0000
20 C 0.1923 0.6538 0.5000
21 C 0.3462 0.8077 0.0000
22 C 0.5000 0.0000 0.5000
23 C 0.6538 0.1923 0.0000
24 C 0.8077 0.3462 0.5000

Principal peaks in the range 2θ = 10–80°, low angle first:
- 29.01 deg, rel. 33
- 34.00 deg, rel. 100
- 34.10 deg, rel. 49
- 35.25 deg, rel. 28
- 46.23 deg, rel. 16
- 46.36 deg, rel. 8
- 51.42 deg, rel. 30
- 62.43 deg, rel. 16
- 62.58 deg, rel. 7
- 63.07 deg, rel. 15
- 63.79 deg, rel. 14
- 63.92 deg, rel. 9


Theoretical powder XRD pattern of Zr2SnC for Cu Kα, from a PBE-relaxed structure.
Peak positions follow from Bragg's law for the DFT cell and can differ from measured ones.

Structure:
Lattice parameters (Å, degrees): 3.3785 3.3785 14.7534 90.00 90.00 120.00
Atoms (fractional coordinates):
1 Zr 0.0000 0.0000 0.1644
2 Zr 0.0000 0.0000 0.8356
3 Zr 0.6667 0.3333 0.3344
4 Zr 0.6667 0.3333 0.6656
5 Sn 0.0000 0.0000 0.5000
6 Sn 0.6667 0.3333 0.0000
7 C 0.3333 0.6667 0.2492
8 C 0.3333 0.6667 0.7508

Principal peaks in the range 2θ = 10–80°, low angle first:
- 30.55 deg, rel. 22
- 32.93 deg, rel. 1
- 35.71 deg, rel. 100
- 36.54 deg, rel. 19
- 48.35 deg, rel. 16
- 54.31 deg, rel. 21
- 63.60 deg, rel. 3
- 65.24 deg, rel. 17
- 66.71 deg, rel. 16
- 67.24 deg, rel. 20
- 75.64 deg, rel. 4
- 77.67 deg, rel. 2


Theoretical powder XRD pattern of TmTaC2 for Cu Kα, from a PBE-relaxed structure.
Peak positions follow from Bragg's law for the DFT cell and can differ from measured ones.

Structure:
Lattice parameters (Å, degrees): 5.6889 3.4417 11.0250 90.00 90.00 90.00
Atoms (fractional coordinates):
1 Tm 0.0853 0.2500 0.1398
2 Tm 0.4147 0.7500 0.6398
3 Tm 0.5853 0.2500 0.3602
4 Tm 0.9147 0.7500 0.8602
5 Ta 0.0964 0.7500 0.3938
6 Ta 0.4036 0.2500 0.8938
7 Ta 0.5964 0.7500 0.1062
8 Ta 0.9036 0.2500 0.6062
9 C 0.1483 0.2500 0.7526
10 C 0.2286 0.2500 0.4864
11 C 0.2714 0.7500 0.9864
12 C 0.3517 0.7500 0.2526
13 C 0.6483 0.2500 0.7474
14 C 0.7286 0.2500 0.0136
15 C 0.7714 0.7500 0.5136
16 C 0.8517 0.7500 0.2474

Principal peaks in the range 2θ = 10–80°, low angle first:
- 31.45 deg, rel. 31
- 32.50 deg, rel. 63
- 34.53 deg, rel. 100
- 39.20 deg, rel. 14
- 40.09 deg, rel. 22
- 53.23 deg, rel. 12
- 55.99 deg, rel. 20
- 59.28 deg, rel. 15
- 61.24 deg, rel. 11
- 63.77 deg, rel. 19
- 68.67 deg, rel. 9
- 71.06 deg, rel. 9


Theoretical powder XRD pattern of TbC8 for Cu Kα, from a PBE-relaxed structure.
Peak positions follow from Bragg's law for the DFT cell and can differ from measured ones.

Structure:
Lattice parameters (Å, degrees): 5.0068 5.0068 4.3368 90.00 90.00 120.00
Atoms (fractional coordinates):
1 Tb 0.0000 0.0000 0.0000
2 C 0.1679 0.3359 0.5000
3 C 0.1679 0.8321 0.5000
4 C 0.3333 0.6667 0.5000
5 C 0.3359 0.1679 0.5000
6 C 0.6641 0.8321 0.5000
7 C 0.6667 0.3333 0.5000
8 C 0.8321 0.1679 0.5000
9 C 0.8321 0.6641 0.5000

Principal peaks in the range 2θ = 10–80°, low angle first:
- 20.48 deg, rel. 100
- 29.12 deg, rel. 82
- 35.87 deg, rel. 24
- 41.66 deg, rel. 52
- 46.85 deg, rel. 56
- 56.12 deg, rel. 26
- 60.38 deg, rel. 27
- 64.47 deg, rel. 5
- 68.41 deg, rel. 14
- 72.26 deg, rel. 12
- 76.03 deg, rel. 10
- 79.73 deg, rel. 18


Theoretical powder XRD pattern of TbTm3Te2C2 for Cu Kα, from a PBE-relaxed structure.
Peak positions follow from Bragg's law for the DFT cell and can differ from measured ones.

Structure:
Lattice parameters (Å, degrees): 3.7933 3.7933 13.8892 90.00 90.00 120.00
Atoms (fractional coordinates):
1 Tb 0.0000 0.0000 0.0000
2 Tm 0.0000 0.0000 0.6834
3 Tm 0.6667 0.3333 0.1874
4 Tm 0.6667 0.3333 0.5002
5 Te 0.0000 0.0000 0.3440
6 Te 0.6667 0.3333 0.8389
7 C 0.3333 0.6667 0.0957
8 C 0.3333 0.6667 0.5919

Principal peaks in the range 2θ = 10–80°, low angle first:
- 27.14 deg, rel. 26
- 33.45 deg, rel. 100
- 38.91 deg, rel. 13
- 47.97 deg, rel. 26
- 48.08 deg, rel. 12
- 53.99 deg, rel. 3
- 55.98 deg, rel. 4
- 59.74 deg, rel. 19
- 63.40 deg, rel. 19
- 67.00 deg, rel. 11
- 70.27 deg, rel. 4
- 76.76 deg, rel. 3


Theoretical powder XRD pattern of TbZr2C3 for Cu Kα, from a PBE-relaxed structure.
Peak positions follow from Bragg's law for the DFT cell and can differ from measured ones.

Structure:
Lattice parameters (Å, degrees): 3.4072 3.4072 8.4398 90.00 90.00 120.00
Atoms (fractional coordinates):
1 Tb 0.0000 0.0000 0.0000
2 Zr 0.3333 0.6667 0.6615
3 Zr 0.6667 0.3333 0.3385
4 C 0.0000 0.0000 0.5000
5 C 0.3333 0.6667 0.1862
6 C 0.6667 0.3333 0.8138

Principal peaks in the range 2θ = 10–80°, low angle first:
- 10.48 deg, rel. 12
- 31.81 deg, rel. 33
- 32.14 deg, rel. 100
- 37.18 deg, rel. 95
- 53.38 deg, rel. 32
- 53.81 deg, rel. 31
- 63.49 deg, rel. 14
- 63.88 deg, rel. 27
- 64.07 deg, rel. 14
- 66.47 deg, rel. 5
- 67.22 deg, rel. 16
- 79.23 deg, rel. 10


Theoretical powder XRD pattern of U2Tc2C3 for Cu Kα, from a PBE-relaxed structure.
Peak positions follow from Bragg's law for the DFT cell and can differ from measured ones.

Structure:
Lattice parameters (Å, degrees): 12.1019 3.0771 5.4490 90.00 115.71 90.00
Atoms (fractional coordinates):
1 U 0.0911 0.0000 0.2666
2 U 0.4089 0.5000 0.7334
3 U 0.5911 0.5000 0.2666
4 U 0.9089 0.0000 0.7334
5 Tc 0.1588 0.5000 0.8228
6 Tc 0.3412 0.0000 0.1772
7 Tc 0.6588 0.0000 0.8228
8 Tc 0.8412 0.5000 0.1772
9 C 0.0000 0.5000 0.5000
10 C 0.2471 0.5000 0.2615
11 C 0.2529 0.0000 0.7385
12 C 0.5000 0.0000 0.5000
13 C 0.7471 0.0000 0.2615
14 C 0.7529 0.5000 0.7385

Principal peaks in the range 2θ = 10–80°, low angle first:
- 18.34 deg, rel. 24
- 29.29 deg, rel. 26
- 29.80 deg, rel. 48
- 30.18 deg, rel. 33
- 32.87 deg, rel. 53
- 33.44 deg, rel. 34
- 36.61 deg, rel. 50
- 37.23 deg, rel. 83
- 37.54 deg, rel. 100
- 51.07 deg, rel. 25
- 51.35 deg, rel. 29
- 59.07 deg, rel. 33